(1)
# Pu2IBr3
Theoretical XRD peak list, Cu Ka. Input: a DFT-relaxed cell (GGA-PBE, Alexandria).
No peak broadening, texture or thermal motion is included.

Peak list (10 most intense, 10° ≤ 2θ ≤ 90°, sorted by position)
12.3 deg, intensity 100
27.1 deg, intensity 45
27.2 deg, intensity 91
34.4 deg, intensity 16
34.8 deg, intensity 50
35.0 deg, intensity 31
42.2 deg, intensity 30
42.9 deg, intensity 15
45.3 deg, intensity 22
51.4 deg, intensity 15

Structure:
```
Pu2IBr3
1.0
8.069 -2.110 0.000
8.069 2.110 0.000
-6.731 0.000 13.308
Pu I Br
4 2 6
direct
0.244 0.244 0.377
0.247 0.247 0.884
0.753 0.753 0.116
0.756 0.756 0.623
0.385 0.385 0.278
0.615 0.615 0.722
0.128 0.128 0.986
0.133 0.133 0.487
0.364 0.364 0.771
0.636 0.636 0.229
0.867 0.867 0.513
0.872 0.872 0.014
```

***

(2)
# LiZnCl4
Theoretical XRD peak list, Cu Ka. Input: a DFT-relaxed cell (GGA-PBE, Alexandria).
No peak broadening, texture or thermal motion is included.

Peak list (10 most intense, 10° ≤ 2θ ≤ 90°, sorted by position)
14.1 deg, intensity 69
15.8 deg, intensity 81
18.1 deg, intensity 29
25.5 deg, intensity 28
30.3 deg, intensity 100
36.7 deg, intensity 51
39.7 deg, intensity 69
46.3 deg, intensity 26
48.7 deg, intensity 34
49.6 deg, intensity 28

Structure:
```
LiZnCl4
1.0
6.544 0.000 0.000
0.000 3.674 0.000
-3.187 0.000 11.197
Li Zn Cl
2 2 8
direct
0.000 0.000 0.000
0.000 0.500 0.500
0.500 0.000 0.500
0.500 0.500 0.000
0.246 0.004 0.612
0.246 0.496 0.112
0.276 0.007 0.879
0.276 0.493 0.379
0.724 0.507 0.621
0.724 0.993 0.121
0.754 0.504 0.888
0.754 0.996 0.388
```

***

(3)
# CaPrPS
Theoretical XRD peak list, Cu Ka. Input: a DFT-relaxed cell (GGA-PBE, Alexandria).
No peak broadening, texture or thermal motion is included.

Peak list (10 most intense, 10° ≤ 2θ ≤ 90°, sorted by position)
13.1 deg, intensity 37
25.1 deg, intensity 26
26.2 deg, intensity 33
30.4 deg, intensity 100
43.5 deg, intensity 36
43.7 deg, intensity 35
51.6 deg, intensity 16
54.0 deg, intensity 19
71.7 deg, intensity 16
72.0 deg, intensity 15

Structure:
```
CaPrPS
1.0
2.082 1.202 6.750
-2.082 1.202 6.750
0.000 -2.404 6.750
Ca Pr P S
1 1 1 1
direct
0.000 0.000 0.000
0.505 0.505 0.505
0.250 0.250 0.250
0.750 0.750 0.750
```